Starting from a cell relaxed with GGA+U, the powder diffractogram of K3VS2O2 was calculated for Cu Kα (weighted mean of Kα1 and Kα2).
Kinematic intensities with the Lorentz-polarization factor, no thermal factor.

Atomic structure:
a b c (Å): 10.769 7.372 11.894
angles (deg): 90.00 122.14 90.00
Positions (direct):
K1 0.012 0.143 0.338
K2 0.012 0.357 0.838
K3 0.265 0.223 0.204
K4 0.265 0.277 0.704
K5 0.437 0.739 0.381
K6 0.437 0.761 0.881
K7 0.563 0.239 0.119
K8 0.563 0.261 0.619
K9 0.735 0.723 0.296
K10 0.735 0.777 0.796
K11 0.988 0.643 0.162
K12 0.988 0.857 0.662
V1 0.196 0.702 0.526
V2 0.196 0.798 0.026
V3 0.804 0.202 0.974
V4 0.804 0.298 0.474
S1 0.252 0.034 0.943
S2 0.252 0.466 0.443
S3 0.364 0.579 0.090
S4 0.364 0.921 0.590
S5 0.636 0.079 0.410
S6 0.636 0.421 0.910
S7 0.748 0.534 0.557
S8 0.748 0.966 0.057
O1 0.028 0.712 0.911
O2 0.028 0.788 0.411
O3 0.196 0.633 0.662
O4 0.196 0.867 0.162
O5 0.804 0.133 0.838
O6 0.804 0.367 0.338
O7 0.972 0.212 0.589
O8 0.972 0.288 0.089

Most intense lines, 10° ≤ 2θ ≤ 90°, by angle:
- (1 1 0), 2θ 15.46, intensity 39
- (0 2 0), 2θ 24.14, intensity 40
- (1 1 2), 2θ 27.20, intensity 100
- (2 1 1), 2θ 28.15, intensity 44
- (2 1 -4), 2θ 32.47, intensity 99
- (3 2 -2), 2θ 34.95, intensity 70